# 1
This entry pairs a crystal structure of AgRhF6 with its theoretical powder XRD pattern. Radiation: Cu Kα (weighted mean of Kα1 and Kα2). Structure: DFT lattice parameters and positions (PBE).
Kinematic intensities with the Lorentz-polarization factor, no thermal factor.

The 12 most intense peaks (2θ from 15° to 90°), sorted by position:
Position (°2θ)  d (Å)  I/Imax
22.4  3.965  53.3
22.7  3.913  100.0
31.0  2.881  17.5
32.0  2.801  27.4
32.3  2.770  26.4
33.6  2.665  9.8
38.6  2.331  10.9
46.4  1.956  14.6
50.5  1.807  14.4
51.9  1.762  27.0
56.3  1.633  9.2
58.9  1.569  10.0

Structural model:
```
data_AgRhF6
_chemical_formula_sum 'Ag2 Rh2 F12'
_space_group_name_H-M_alt 'P 1 21/c 1'
_space_group_IT_number 14
_space_group_name_Hall '-P 2ybc'
_cell_length_a 5.331
_cell_length_b 5.762
_cell_length_c 9.490
_cell_angle_alpha 90.00
_cell_angle_beta 123.31
_cell_angle_gamma 90.00
loop_
_atom_site_label
_atom_site_fract_x
_atom_site_fract_y
_atom_site_fract_z
_atom_site_occupancy
Ag1 0.000 0.000 0.000 1
Rh1 0.500 0.000 0.500 1
F1 0.131 0.159 0.431 1
F2 0.289 0.707 0.433 1
F3 0.417 0.039 0.276 1
```

=====

# 2
This entry pairs a crystal structure of Ag3RhF6 with its theoretical powder XRD pattern. Radiation: Cu Kα (weighted mean of Kα1 and Kα2). Structure: DFT lattice parameters and positions (PBE).
Kinematic intensities with the Lorentz-polarization factor, no thermal factor.

The 12 most intense peaks (2θ from 15° to 90°), sorted by position:
Position (°2θ)  d (Å)  I/Imax
27.1  3.290  83.3
29.9  2.993  100.0
32.5  2.751  38.0
34.0  2.637  24.0
43.0  2.105  23.1
47.8  1.904  47.0
50.2  1.817  11.7
53.2  1.722  36.3
56.7  1.622  11.8
58.0  1.591  19.7
58.3  1.583  12.4
75.1  1.265  11.4

Structural model:
```
data_Ag3RhF6
_chemical_formula_sum 'Ag12 Rh4 F24'
_space_group_name_H-M_alt 'F m m m'
_space_group_IT_number 69
_space_group_name_Hall '-F 2 2'
_cell_length_a 7.269
_cell_length_b 8.420
_cell_length_c 10.548
_cell_angle_alpha 90.00
_cell_angle_beta 90.00
_cell_angle_gamma 90.00
loop_
_atom_site_label
_atom_site_fract_x
_atom_site_fract_y
_atom_site_fract_z
_atom_site_occupancy
Ag1 0.000 0.000 0.000 1
Ag2 0.250 0.250 0.250 1
Rh1 0.000 0.000 0.500 1
F1 0.000 0.237 0.500 1
F2 0.199 0.000 0.367 1
```

=====

# 3
This entry pairs a crystal structure of AgRuF4 with its theoretical powder XRD pattern. Radiation: Cu Kα (weighted mean of Kα1 and Kα2). Structure: DFT lattice parameters and positions (PBE).
Kinematic intensities with the Lorentz-polarization factor, no thermal factor.

The 12 most intense peaks (2θ from 15° to 90°), sorted by position:
Position (°2θ)  d (Å)  I/Imax
22.1  4.024  100.0
31.4  2.846  16.0
35.0  2.562  63.1
45.1  2.012  26.2
47.8  1.904  47.0
50.7  1.800  20.2
58.3  1.582  11.7
67.8  1.383  18.3
69.6  1.351  7.6
76.6  1.244  11.9
82.6  1.168  7.6
86.8  1.122  8.5

Structural model:
```
data_AgRuF4
_chemical_formula_sum 'Ag2 Ru2 F8'
_space_group_name_H-M_alt 'P 4/n m m'
_space_group_IT_number 129
_cell_length_a 8.048
_cell_length_b 8.048
_cell_length_c 2.870
_cell_angle_alpha 90.00
_cell_angle_beta 90.00
_cell_angle_gamma 90.00
loop_
_space_group_symop_operation_xyz
'x,y,z'
'-x,-y,-z'
'-y+1/2,x,z'
'y+1/2,-x,-z'
'-x+1/2,-y+1/2,z'
'x+1/2,y+1/2,-z'
'y,-x+1/2,z'
'-y,x+1/2,-z'
'x+1/2,-y,-z'
'-x+1/2,y,z'
'-y,-x,-z'
'y,x,z'
'-x,y+1/2,-z'
'x,-y+1/2,z'
'y+1/2,x+1/2,-z'
'-y+1/2,-x+1/2,z'
loop_
_atom_site_label
_atom_site_fract_x
_atom_site_fract_y
_atom_site_fract_z
_atom_site_occupancy
Ag1 0.250 0.250 0.001 1
Ru1 0.250 0.750 0.500 1
F1 0.010 0.750 0.500 1
```

=====

# 4
This entry pairs a crystal structure of Ag4SF2 with its theoretical powder XRD pattern. Radiation: Cu Kα (weighted mean of Kα1 and Kα2). Structure: DFT lattice parameters and positions (PBE).
Kinematic intensities with the Lorentz-polarization factor, no thermal factor.

The 12 most intense peaks (2θ from 15° to 90°), sorted by position:
Position (°2θ)  d (Å)  I/Imax
29.6  3.022  34.6
30.2  2.959  56.9
31.0  2.887  100.0
33.6  2.665  18.4
36.1  2.489  89.3
38.3  2.348  40.9
44.0  2.057  29.2
45.0  2.015  18.6
46.0  1.973  20.0
46.7  1.945  23.5
50.6  1.805  27.4
53.3  1.717  21.4

Structural model:
```
data_Ag4SF2
_chemical_formula_sum 'Ag4 S1 F2'
_space_group_name_H-M_alt 'P 1 2/m 1'
_space_group_IT_number 10
_space_group_name_Hall '-P 2y'
_cell_length_a 6.371
_cell_length_b 3.435
_cell_length_c 6.508
_cell_angle_alpha 90.00
_cell_angle_beta 111.74
_cell_angle_gamma 90.00
loop_
_atom_site_label
_atom_site_fract_x
_atom_site_fract_y
_atom_site_fract_z
_atom_site_occupancy
Ag1 0.189 0.000 0.300 1
Ag2 0.218 0.500 0.686 1
S1 0.500 0.500 0.500 1
F1 0.195 0.000 0.930 1
```